1.
MgZn2Ag4O8: simulated PXRD pattern (Cu Kα (λ = 1.5418 Å)), based on DFT lattice parameters and positions (PBE).

Structure:
```
MgZn2Ag4O8
1.0
3.2897 0.0000 0.0000
1.2632 6.4390 0.0000
0.5307 1.7358 9.0921
Mg Zn Ag O
1 2 4 8
Cartesian
0.0000 0.0000 0.0000
1.6411 1.2453 2.2281
3.4425 6.9295 6.8640
1.9206 5.5956 4.3721
1.8402 4.1712 7.8451
3.2434 4.0036 1.2470
3.1630 2.5792 4.7200
0.5135 2.0239 0.7350
1.8244 7.1670 5.7868
2.3892 3.8470 3.1764
2.1993 2.1966 7.8819
2.8843 5.9783 1.2101
2.6944 4.3278 5.9157
3.2592 1.0078 3.3053
4.5701 6.1509 8.3571
```

Most intense lines, 15 to 90 degrees two-theta, in order of rising 2θ:
d [Å]  2theta  I (rel.)
3.057  29.2  94
3.030  29.5  55
2.958  30.2  56
2.858  31.3  59
2.827  31.7  100
2.658  33.7  63
2.616  34.3  70
2.521  35.6  41
2.446  36.7  91
1.632  56.4  41

***

2.
Mg2AgPd: simulated PXRD pattern (Cu Kα (λ = 1.5418 Å)), based on DFT lattice parameters and positions (PBE).

Structure:
```
Mg2AgPd
1.0
0.0000 3.2582 3.2582
3.2582 0.0000 3.2582
3.2582 3.2582 0.0000
Mg Ag Pd
2 1 1
Cartesian
1.6291 1.6291 1.6291
4.8873 4.8873 4.8873
0.0000 0.0000 0.0000
3.2582 3.2582 3.2582
```

Most intense lines, 15 to 90 degrees two-theta, in order of rising 2θ:
d [Å]  2theta  I (rel.)
3.258  27.4  51
2.304  39.1  100
1.881  48.4  14
1.629  56.5  16
1.457  63.9  17
1.330  70.8  32
1.152  84.0  10

***

3.
Mg2AgPd: simulated PXRD pattern (Cu Kα (λ = 1.5418 Å)), based on DFT lattice parameters and positions (PBE).

Structure:
```
Mg2AgPd
1.0
3.2685 0.0000 0.0000
0.0000 3.2685 0.0000
0.0000 0.0000 6.5356
Mg Ag Pd
2 1 1
Cartesian
0.0000 0.0000 1.5491
0.0000 0.0000 4.9865
1.6343 1.6343 3.2678
1.6343 1.6343 0.0000
```

Most intense lines, 15 to 90 degrees two-theta, in order of rising 2θ:
d [Å]  2theta  I (rel.)
3.268  27.3  51
2.311  39.0  100
1.887  48.2  14
1.634  56.3  16
1.462  63.7  18
1.334  70.6  32
1.156  83.7  10

***

4.
PrMgAg: simulated PXRD pattern (Cu Kα (λ = 1.5418 Å)), based on DFT lattice parameters and positions (PBE).

Structure:
```
PrMgAg
1.0
7.8432 0.0000 0.0000
-3.9216 6.7924 0.0000
0.0000 0.0000 4.3335
Pr Mg Ag
3 3 3
Cartesian
-2.2966 3.9779 0.0000
1.6250 2.8145 0.0000
4.5932 0.0000 0.0000
-0.9469 1.6401 2.1667
1.8938 0.0000 2.1667
2.9747 5.1523 2.1667
0.0000 0.0000 0.0000
0.0000 4.5283 2.1667
3.9216 2.2641 2.1667
```

Most intense lines, 15 to 90 degrees two-theta, in order of rising 2θ:
d [Å]  2theta  I (rel.)
3.922  22.7  33
3.396  26.2  21
2.908  30.7  78
2.673  33.5  100
2.567  34.9  22
2.264  39.8  29
2.209  40.9  25
2.167  41.7  23
1.728  53.0  22
1.466  63.4  23

***

5.
PrMgAg2: simulated PXRD pattern (Cu Kα (λ = 1.5418 Å)), based on DFT lattice parameters and positions (PBE).

Structure:
```
PrMgAg2
1.0
0.0000 3.6030 3.6030
3.6030 0.0000 3.6030
3.6030 3.6030 0.0000
Pr Mg Ag
1 1 2
Cartesian
0.0000 0.0000 0.0000
3.6030 3.6030 3.6030
1.8015 1.8015 1.8015
5.4045 5.4045 5.4045
```

Most intense lines, 15 to 90 degrees two-theta, in order of rising 2θ:
d [Å]  2theta  I (rel.)
4.160  21.4  21
2.548  35.2  100
2.173  41.6  11
1.802  50.7  17
1.653  55.6  5
1.471  63.2  35
1.387  67.5  4
1.274  74.5  11
1.218  78.5  3
1.139  85.2  15

***

6.
Rb4MgV2Ag2S8: simulated PXRD pattern (Cu Kα (λ = 1.5418 Å)), based on DFT lattice parameters and positions (PBE).

Structure:
```
Rb4MgV2Ag2S8
1.0
5.7618 0.0000 0.0000
-2.4882 7.0242 0.0000
-0.3655 -3.6130 12.4283
Rb Mg V Ag S
4 1 2 2 8
Cartesian
-0.4550 0.0489 5.1268
2.0396 -0.2498 1.8651
0.8685 3.6609 10.5633
3.3630 3.3622 7.3015
-1.2441 3.5121 0.0000
-0.8659 0.2317 9.2520
3.7739 3.1794 3.1763
0.8976 3.2593 2.8293
2.0104 0.1518 9.5990
-1.9758 1.6470 10.7116
0.1532 -1.0705 10.8289
-0.7286 4.5027 4.3979
0.4359 1.5187 8.0402
2.4721 1.8924 4.3882
3.6367 -1.0915 8.0304
2.7549 4.4816 1.5994
4.8838 1.7641 1.7168
```

Most intense lines, 15 to 90 degrees two-theta, in order of rising 2θ:
d [Å]  2theta  I (rel.)
4.735  18.7  44
4.042  22.0  45
3.511  25.4  72
3.330  26.8  67
3.285  27.1  53
3.179  28.1  57
3.162  28.2  54
3.115  28.7  51
2.788  32.1  50
2.594  34.6  100